[1]
Structure and simulated powder diffractogram of Y2Cu2Rh (DFT lattice parameters and positions (PBE); Cu Kα (λ = 1.5418 Å)).
Neutral-atom scattering factors, no anomalous dispersion.

Crystal structure
```
data_Y2Cu2Rh
_space_group_name_H-M_alt 'C 1 2/c 1'
_space_group_IT_number 15
_cell_length_a 8.650
_cell_length_b 5.604
_cell_length_c 8.234
_cell_angle_alpha 90.00
_cell_angle_beta 106.34
_cell_angle_gamma 90.00
loop_
_space_group_symop_operation_xyz
'x,y,z'
'-x,-y,-z'
'-x,y,-z+1/2'
'x,-y,z+1/2'
'x+1/2,y+1/2,z'
'-x+1/2,-y+1/2,-z'
'-x+1/2,y+1/2,-z+1/2'
'x+1/2,-y+1/2,z+1/2'
loop_
_atom_site_label
_atom_site_fract_x
_atom_site_fract_y
_atom_site_fract_z
Y1 0.157 0.128 0.152
Cu1 0.129 0.377 0.499
Rh1 0.000 0.310 0.750
```

Principal peaks in the range 10° ≤ 2θ ≤ 90°, low angle first:
- hkl 1 1 2, d 2.800, I = 44
- hkl 0 2 1, d 2.641, I = 68
- hkl 1 1 -3, d 2.463, I = 100
- hkl 2 2 -1, d 2.329, I = 47
- hkl 3 1 1, d 2.213, I = 53
- hkl 2 2 1, d 2.139, I = 47

=====

[2]
Structure and simulated powder diffractogram of Y2CuRh (DFT lattice parameters and positions (PBE); Cu Kα (λ = 1.5418 Å)).
Neutral-atom scattering factors, no anomalous dispersion.

Crystal structure
```
data_Y2CuRh
_space_group_name_H-M_alt 'P 1 m 1'
_space_group_IT_number 6
_cell_length_a 3.814
_cell_length_b 4.366
_cell_length_c 5.548
_cell_angle_alpha 90.00
_cell_angle_beta 110.02
_cell_angle_gamma 90.00
loop_
_space_group_symop_operation_xyz
'x,y,z'
'x,-y,z'
loop_
_atom_site_label
_atom_site_fract_x
_atom_site_fract_y
_atom_site_fract_z
Y1 0.000 0.000 0.000
Y2 0.278 0.500 0.557
Cu1 0.565 0.500 0.131
Rh1 0.719 0.000 0.439
```

Principal peaks in the range 10° ≤ 2θ ≤ 90°, low angle first:
- hkl 1 1 -1, d 2.769, I = 100
- hkl 0 0 2, d 2.606, I = 24
- hkl 1 0 1, d 2.569, I = 26
- hkl 0 1 2, d 2.238, I = 28
- hkl 1 1 1, d 2.214, I = 72
- hkl 0 2 0, d 2.183, I = 32

=====

[3]
Structure and simulated powder diffractogram of YCu2Rh (DFT lattice parameters and positions (PBE); Cu Kα (λ = 1.5418 Å)).
Neutral-atom scattering factors, no anomalous dispersion.

Crystal structure
```
data_YCu2Rh
_space_group_name_H-M_alt 'I -4 m 2'
_space_group_IT_number 119
_space_group_name_Hall 'I -4 -2'
_cell_length_a 4.059
_cell_length_b 4.059
_cell_length_c 7.953
_cell_angle_alpha 90.00
_cell_angle_beta 90.00
_cell_angle_gamma 90.00
loop_
_atom_site_label
_atom_site_fract_x
_atom_site_fract_y
_atom_site_fract_z
Y1 0.000 0.000 0.000
Cu1 0.000 0.000 0.500
Cu2 0.000 0.500 0.250
Rh1 0.000 0.500 0.750
```

Principal peaks in the range 10° ≤ 2θ ≤ 90°, low angle first:
- hkl 1 1 2, d 2.327, I = 100
- hkl 2 0 0, d 2.030, I = 33
- hkl 0 0 4, d 1.988, I = 15
- hkl 2 0 4, d 1.420, I = 20
- hkl 3 1 2, d 1.222, I = 23
- hkl 1 1 6, d 1.203, I = 11